Theoretical X-ray powder pattern
Compound: Ca4Mg4Fe3
Radiation: Cu Kα
Structure: a PBE-relaxed structure
Lines closer than 0.1° are merged.

Structural model:
```
11
Lattice="6.618 0.000 0.000 0.000 6.618 0.000 0.000 0.000 6.618" Properties=species:S:1:pos:R:3 pbc="T T T"
Ca 1.354 1.354 1.354
Ca 1.354 5.264 5.264
Ca 5.264 1.354 5.264
Ca 5.264 5.264 1.354
Mg 2.099 2.099 4.518
Mg 2.099 4.518 2.099
Mg 4.518 2.099 2.099
Mg 4.518 4.518 4.518
Fe 0.000 3.309 3.309
Fe 3.309 0.000 3.309
Fe 3.309 3.309 0.000
```

Peak list (12 most intense, 2θ from 5° to 70°, sorted by position)
(1 0 0), 13.38 deg, d 6.618, I 17
(1 1 1), 23.28 deg, d 3.821, I 79
(2 1 0), 30.20 deg, d 2.959, I 17
(2 1 1), 33.16 deg, d 2.702, I 75
(2 2 0), 38.48 deg, d 2.340, I 100
(3 1 0), 43.23 deg, d 2.093, I 22
(3 1 1), 45.46 deg, d 1.995, I 41
(3 2 1), 51.68 deg, d 1.769, I 8
(4 1 1), 59.24 deg, d 1.560, I 28
(3 3 1), 61.03 deg, d 1.518, I 12
(3 3 2), 66.24 deg, d 1.411, I 13
(4 2 2), 69.60 deg, d 1.351, I 15